TbYTm3: simulated PXRD pattern (Cu Kα (weighted mean of Kα1 and Kα2)), based on the GGA-PBE geometry in Alexandria.
Kinematic intensities with the Lorentz-polarization factor, no thermal factor.

The 10 most intense peaks (10° ≤ 2θ ≤ 90°), by intensity:
2.719 Å, I = 100.0; 2.794 Å, I = 23.9; 3.112 Å, I = 23.9; 1.511 Å, I = 22.4; 1.598 Å, I = 20.3; 1.797 Å, I = 19.7; 2.079 Å, I = 15.5; 1.500 Å, I = 8.2; 1.499 Å, I = 8.2; 1.151 Å, I = 8.1

Cell and atoms:
```
data_TbYTm3
_cell_length_a 6.2228
_cell_length_b 6.6401
_cell_length_c 9.1058
_cell_angle_alpha 72.37
_cell_angle_beta 89.99
_cell_angle_gamma 62.13
_symmetry_space_group_name_H-M 'P -1'
_symmetry_Int_Tables_number 2
_symmetry_space_group_name_Hall '-P 1'
loop_
_atom_site_label
_atom_site_type_symbol
_atom_site_fract_x
_atom_site_fract_y
_atom_site_fract_z
Tb1 Tb 0.1350 0.3988 0.3500
Y1 Y 0.4664 0.3986 0.8503
Tm1 Tm 0.0673 0.1996 0.0498
Tm2 Tm 0.2652 0.8004 0.4500
Tm3 Tm 0.3315 0.0009 0.7490
```